Starting from a cell relaxed with PBE+U, the PXRD pattern of ZrNiF6 was calculated for Cu Kα, 1.54184 Å.

abc: 5.7294 5.7294 5.7294
angles: 60.00 60.00 60.00
Atoms (fractional coordinates):
Zr: 0.0000 0.0000 0.0000
Ni: 0.5000 0.5000 0.5000
F: 0.2513 0.2513 0.7487
F: 0.2513 0.7487 0.2513
F: 0.2513 0.7487 0.7487
F: 0.7487 0.2513 0.2513
F: 0.7487 0.2513 0.7487
F: 0.7487 0.7487 0.2513

The 8 most intense peaks (2θ from 10° to 80°), in order of rising 2θ:
- 2θ = 21.94°, rel. 100
- 2θ = 31.22°, rel. 28
- 2θ = 44.74°, rel. 27
- 2θ = 50.36°, rel. 38
- 2θ = 55.56°, rel. 11
- 2θ = 65.13°, rel. 15
- 2θ = 69.62°, rel. 16
- 2θ = 73.99°, rel. 5